Starting from a crystal structure in Alexandria, relaxed with GGA-PBE, the PXRD pattern of Pm3SiC2 was calculated for a wavelength of 1.5418 Å.

Atomic structure:
```
Pm3SiC2
1.0
5.5870 0.0000 0.0000
0.0000 11.5424 0.0000
0.0000 0.0000 3.7866
Pm Si C
6 2 4
direct
0.0000 0.0000 0.0000
0.0189 0.2911 0.5000
0.4811 0.7911 0.0000
0.5000 0.5000 0.5000
0.5189 0.2089 0.0000
0.9811 0.7089 0.5000
0.0000 0.5000 0.0000
0.5000 0.0000 0.5000
0.2450 0.3851 0.0000
0.2550 0.8851 0.5000
0.7450 0.1149 0.5000
0.7550 0.6149 0.0000
```

The 6 most intense peaks (15° ≤ 2θ ≤ 90°), sorted by position:
3.598 Å, I = 16; 3.169 Å, I = 41; 2.793 Å, I = 27; 2.754 Å, I = 100; 1.971 Å, I = 18; 1.605 Å, I = 18

Starting from a crystal structure in Alexandria, relaxed with GGA-PBE, the PXRD pattern of K2AuI5 was calculated for a wavelength of 1.5418 Å.

Atomic structure:
```
K2AuI5
1.0
-4.3355 4.3355 4.5818
4.3355 -4.3355 4.5818
4.3355 4.3355 -4.5818
K Au I
2 1 5
direct
0.0000 0.5000 0.5000
0.5000 0.0000 0.5000
0.2399 0.2399 0.0000
0.0312 0.0312 0.5568
0.0312 0.4744 0.0000
0.4744 0.0312 0.0000
0.4744 0.4744 0.4432
0.8188 0.8188 0.0000
```

The 6 most intense peaks (15° ≤ 2θ ≤ 90°), sorted by position:
4.582 Å, I = 93; 3.670 Å, I = 65; 3.066 Å, I = 100; 2.548 Å, I = 69; 2.168 Å, I = 32; 1.835 Å, I = 30

Starting from a crystal structure in Alexandria, relaxed with GGA-PBE, the PXRD pattern of KAc2HgO5 was calculated for a wavelength of 1.5418 Å.

Atomic structure:
```
KAc2HgO5
1.0
-3.6320 3.6320 6.3990
3.6320 -3.6320 6.3990
3.6320 3.6320 -6.3990
K Ac Hg O
2 4 2 10
direct
0.2500 0.2500 0.0000
0.7500 0.7500 0.0000
0.1744 0.6744 0.8487
0.3256 0.1744 0.5000
0.6744 0.8256 0.5000
0.8256 0.3256 0.1513
0.2500 0.7500 0.5000
0.7500 0.2500 0.5000
0.0000 0.0000 0.0000
0.0227 0.2444 0.5000
0.2444 0.7444 0.2217
0.2556 0.4773 0.5000
0.4773 0.9773 0.2217
0.5000 0.5000 0.0000
0.5227 0.0227 0.7783
0.7444 0.5227 0.5000
0.7556 0.2556 0.7783
0.9773 0.7556 0.5000
```

The 6 most intense peaks (15° ≤ 2θ ≤ 90°), sorted by position:
5.136 Å, I = 28; 3.199 Å, I = 27; 3.155 Å, I = 100; 2.585 Å, I = 37; 2.162 Å, I = 27; 1.746 Å, I = 19